Starting from DFT lattice parameters and positions (PBE), the X-ray powder pattern of Ca3Nd3CuSe8 was simulated for CuKα.
No peak broadening, texture or thermal motion is included.

The 12 most intense peaks (2θ from 5° to 70°), in order of falling intensity:
| 2θ/deg | I (rel.) |
| --- | --- |
| 30.16 | 100 |
| 43.08 | 36 |
| 43.27 | 36 |
| 12.88 | 25 |
| 53.65 | 19 |
| 24.96 | 13 |
| 62.71 | 11 |
| 53.31 | 6 |
| 32.91 | 5 |
| 39.41 | 5 |
| 14.95 | 5 |
| 45.34 | 5 |

```
Ca3Nd3CuSe8
1.0
7.240 -4.183 0.000
7.240 4.183 0.000
-4.830 0.000 6.873
Ca Nd Cu Se
3 3 1 8
Direct
0.000 0.000 0.000
0.000 0.500 0.000
0.500 0.000 0.000
0.000 0.500 0.500
0.500 0.000 0.500
0.500 0.500 0.500
0.000 0.000 0.500
0.238 0.238 0.736
0.239 0.759 0.737
0.241 0.761 0.263
0.249 0.249 0.247
0.751 0.751 0.753
0.759 0.239 0.737
0.761 0.241 0.263
0.762 0.762 0.264
```